This entry pairs a crystal structure of SbO2 with its simulated powder XRD pattern. Radiation: Cu Ka. Structure: a cell relaxed with GGA-PBE.
Intensities are scaled so that the largest is 100.

Principal peaks in the range 2θ = 10–80°, by intensity:
2theta  d/Å  I (rel.)
16.17  5.483  100.0
31.24  2.863  43.7
37.90  2.374  42.7
32.67  2.741  31.5
54.67  1.679  26.2
49.90  1.828  20.5
57.41  1.605  19.0
65.16  1.432  16.6
41.45  2.179  15.7
70.87  1.330  9.8

```
12
Lattice="0.0000 4.7482 4.7482 4.7482 0.0000 4.7482 4.7482 4.7482 0.0000" Properties=species:S:1:pos:R:3 pbc="T T T"
Sb 0.0000 0.0000 0.0000
Sb 2.3741 2.3741 0.0000
Sb 2.3741 0.0000 2.3741
Sb 0.0000 2.3741 2.3741
O 7.3252 4.5451 4.5451
O 2.1711 2.1711 2.1711
O 4.9512 4.9512 2.1711
O 4.9512 2.1711 4.9512
O 4.5451 7.3252 4.5451
O 4.5451 4.5451 7.3252
O 7.3252 7.3252 7.3252
O 2.1711 4.9512 4.9512
```